(1)
This entry pairs a crystal structure of Sr10CaY4Co10O30 with its computed X-ray powder pattern. Radiation: Cu Kα X-rays. Structure: the PBE+U geometry in the Materials Project.
No peak broadening, texture or thermal motion is included.

Largest 8 diffraction maxima, sorted by position, 2θ from 10° to 80°:
two_theta  I_rel
32.4  100
33.2  55
39.4  11
43.1  15
47.7  35
57.3  16
58.8  34
69.7  10

Atomic structure:
Cell lengths 11.6819, 11.6819, 11.6819 Å; angles 137.15, 137.15, 62.20 degrees
Sites, in units of the cell vectors:
Sr (0.0057, 0.4242, 0.7966)
Sr (0.1785, 0.1785, 0.0000)
Sr (0.2091, 0.0057, 0.5815)
Sr (0.3724, 0.7909, 0.7966)
Sr (0.4242, 0.6276, 0.4185)
Sr (0.5758, 0.3724, 0.5815)
Sr (0.6276, 0.2091, 0.2034)
Sr (0.7909, 0.9943, 0.4185)
Sr (0.8215, 0.8215, 0.0000)
Sr (0.9943, 0.5758, 0.2034)
Ca (0.0000, 0.0000, 0.0000)
Y (0.2014, 0.6022, 0.8036)
Y (0.3978, 0.2014, 0.5991)
Y (0.6022, 0.7986, 0.4009)
Y (0.7986, 0.3978, 0.1964)
Co (0.0097, 0.2086, 0.4016)
Co (0.1929, 0.3919, 0.4016)
Co (0.2086, 0.8071, 0.1989)
Co (0.3919, 0.9903, 0.1989)
Co (0.3975, 0.3975, 0.0000)
Co (0.6025, 0.6025, 0.0000)
Co (0.6081, 0.0097, 0.8011)
Co (0.7914, 0.1929, 0.8010)
Co (0.8071, 0.6081, 0.5984)
Co (0.9903, 0.7914, 0.5984)
O (0.0258, 0.7202, 0.8970)
O (0.0724, 0.5724, 0.5000)
O (0.0951, 0.8966, 0.6005)
O (0.1034, 0.7040, 0.1985)
O (0.1288, 0.0258, 0.3056)
O (0.1768, 0.8712, 0.8970)
O (0.2296, 0.3316, 0.7047)
O (0.2798, 0.1768, 0.3056)
O (0.2960, 0.4946, 0.3995)
O (0.3084, 0.3084, 0.0000)
O (0.3316, 0.6269, 0.1020)
O (0.3731, 0.4752, 0.7047)
O (0.4276, 0.9276, 0.5000)
O (0.4752, 0.7704, 0.1020)
O (0.4946, 0.0951, 0.1985)
O (0.5054, 0.9049, 0.8015)
O (0.5248, 0.2296, 0.8980)
O (0.5724, 0.0724, 0.5000)
O (0.6269, 0.5248, 0.2953)
O (0.6684, 0.3731, 0.8980)
O (0.6916, 0.6916, 0.0000)
O (0.7040, 0.5054, 0.6005)
O (0.7202, 0.8232, 0.6944)
O (0.7704, 0.6684, 0.2953)
O (0.8232, 0.1288, 0.1030)
O (0.8712, 0.9742, 0.6944)
O (0.8966, 0.2960, 0.8015)
O (0.9049, 0.1034, 0.3995)
O (0.9276, 0.4276, 0.5000)
O (0.9742, 0.2798, 0.1030)

(2)
This entry pairs a crystal structure of Ca2TaCoO6 with its computed X-ray powder pattern. Radiation: Cu Kα X-rays. Structure: the PBE+U geometry in the Materials Project.
No peak broadening, texture or thermal motion is included.

Largest 8 diffraction maxima, sorted by position, 2θ from 10° to 80°:
two_theta  I_rel
15.7  45
22.5  53
22.7  50
23.0  45
31.6  51
32.4  99
32.6  100
32.7  48

Atomic structure:
Cell lengths 5.4782, 7.7223, 5.6583 Å; angles 90.00, 90.59, 90.00 degrees
Sites, in units of the cell vectors:
Ca (0.0123, 0.2500, 0.4313)
Ca (0.4818, 0.2500, 0.9553)
Ca (0.5182, 0.7500, 0.0447)
Ca (0.9877, 0.7500, 0.5687)
Ta (0.5000, 0.0000, 0.5000)
Ta (0.5000, 0.5000, 0.5000)
Co (0.0000, 0.0000, 0.0000)
Co (0.0000, 0.5000, 0.0000)
O (0.0785, 0.7500, 0.9847)
O (0.2099, 0.0444, 0.6977)
O (0.2099, 0.4556, 0.6977)
O (0.3026, 0.0488, 0.2113)
O (0.3026, 0.4512, 0.2113)
O (0.4050, 0.7500, 0.4704)
O (0.5950, 0.2500, 0.5296)
O (0.6974, 0.5488, 0.7887)
O (0.6974, 0.9512, 0.7887)
O (0.7901, 0.5444, 0.3023)
O (0.7901, 0.9556, 0.3023)
O (0.9215, 0.2500, 0.0153)

(3)
This entry pairs a crystal structure of Ca2CoTeO6 with its computed X-ray powder pattern. Radiation: Cu Kα X-rays. Structure: the PBE+U geometry in the Materials Project.
No peak broadening, texture or thermal motion is included.

Largest 8 diffraction maxima, sorted by position, 2θ from 10° to 80°:
two_theta  I_rel
22.5  73
31.6  50
32.2  100
32.3  99
32.6  46
46.0  59
57.8  36
58.0  36

Atomic structure:
Cell lengths 5.5005, 5.6641, 9.5281 Å; angles 90.00, 124.92, 90.00 degrees
Sites, in units of the cell vectors:
Ca (0.2359, 0.0517, 0.2489)
Ca (0.2359, 0.4483, 0.7489)
Ca (0.7641, 0.5517, 0.2511)
Ca (0.7641, 0.9483, 0.7511)
Co (0.0000, 0.0000, 0.5000)
Co (0.0000, 0.5000, 0.0000)
Te (0.5000, 0.0000, 0.0000)
Te (0.5000, 0.5000, 0.5000)
O (0.1650, 0.1914, 0.9542)
O (0.1650, 0.3086, 0.4542)
O (0.2593, 0.7153, 0.9472)
O (0.2593, 0.7847, 0.4472)
O (0.3549, 0.0342, 0.7593)
O (0.3549, 0.4658, 0.2593)
O (0.6451, 0.5342, 0.7407)
O (0.6451, 0.9658, 0.2407)
O (0.7407, 0.2153, 0.5528)
O (0.7407, 0.2847, 0.0528)
O (0.8350, 0.6914, 0.5458)
O (0.8350, 0.8086, 0.0458)

(4)
This entry pairs a crystal structure of Ca3Co2Te2O12 with its computed X-ray powder pattern. Radiation: Cu Kα X-rays. Structure: the PBE+U geometry in the Materials Project.
No peak broadening, texture or thermal motion is included.

Largest 8 diffraction maxima, sorted by position, 2θ from 10° to 80°:
two_theta  I_rel
19.9  30
22.7  100
23.5  46
32.3  42
32.4  41
32.6  82
33.3  73
46.5  29

Atomic structure:
Cell lengths 5.3870, 5.5048, 7.8199 Å; angles 90.60, 90.87, 92.03 degrees
Sites, in units of the cell vectors:
Ca (0.0000, 0.0000, 0.0000)
Ca (0.0185, 0.9014, 0.4975)
Ca (0.4907, 0.3918, 0.5013)
Co (0.5127, 0.9407, 0.7641)
Co (0.9975, 0.4492, 0.2315)
Te (0.0095, 0.4529, 0.7542)
Te (0.5084, 0.9336, 0.2442)
O (0.0973, 0.4247, 0.9910)
O (0.2094, 0.1711, 0.7020)
O (0.2309, 0.1431, 0.2900)
O (0.2942, 0.6543, 0.3043)
O (0.3006, 0.6662, 0.6945)
O (0.4184, 0.9232, 0.0061)
O (0.5935, 0.9693, 0.4870)
O (0.7196, 0.2297, 0.7857)
O (0.7280, 0.2313, 0.2102)
O (0.8120, 0.7611, 0.2136)
O (0.8314, 0.7490, 0.7850)
O (0.9196, 0.4683, 0.5110)